Diffraction record for CeMn3P3. The XRD peak list is computed, not measured: it uses the PBE geometry in Alexandria and Cu Kα.
Intensities are scaled so that the largest is 100.

The 10 most intense peaks (5 to 70 degrees two-theta), low angle first:
2θ/deg, I (rel.)
20.08, 9
28.55, 44
32.01, 7
35.16, 100
40.82, 2
45.90, 3
50.57, 3
54.95, 53
59.10, 16
66.93, 14

Atomic structure:
```
data_CeMn3P3
_symmetry_space_group_name_H-M 'P 1'
_symmetry_Int_Tables_number 1
_cell_length_a 6.2526
_cell_length_b 6.2526
_cell_length_c 6.2526
_cell_angle_alpha 90.00
_cell_angle_beta 90.00
_cell_angle_gamma 90.00
loop_
_symmetry_equiv_pos_as_xyz
'x,y,z'
loop_
_atom_site_label
_atom_site_type_symbol
_atom_site_fract_x
_atom_site_fract_y
_atom_site_fract_z
Ce1 Ce 0.0000 0.0000 0.0000
Ce2 Ce 0.5000 0.5000 0.5000
Mn1 Mn 0.0000 0.2500 0.5000
Mn2 Mn 0.0000 0.7500 0.5000
Mn3 Mn 0.2500 0.5000 0.0000
Mn4 Mn 0.5000 0.0000 0.2500
Mn5 Mn 0.5000 0.0000 0.7500
Mn6 Mn 0.7500 0.5000 0.0000
P1 P 0.0000 0.5000 0.2500
P2 P 0.0000 0.5000 0.7500
P3 P 0.2500 0.0000 0.5000
P4 P 0.5000 0.2500 0.0000
P5 P 0.5000 0.7500 0.0000
P6 P 0.7500 0.0000 0.5000
```

---

Diffraction record for CeMn4P12. The XRD peak list is computed, not measured: it uses the PBE geometry in Alexandria and Cu Kα.
Intensities are scaled so that the largest is 100.

The 10 most intense peaks (5 to 70 degrees two-theta), low angle first:
2θ/deg, I (rel.)
15.83, 39
27.59, 22
31.96, 81
35.86, 100
42.72, 71
45.83, 12
51.61, 14
56.97, 58
59.52, 45
64.44, 10

Atomic structure:
```
data_CeMn4P12
_symmetry_space_group_name_H-M 'P 1'
_symmetry_Int_Tables_number 1
_cell_length_a 6.8583
_cell_length_b 6.8583
_cell_length_c 6.8583
_cell_angle_alpha 109.47
_cell_angle_beta 109.47
_cell_angle_gamma 109.47
loop_
_symmetry_equiv_pos_as_xyz
'x,y,z'
loop_
_atom_site_label
_atom_site_type_symbol
_atom_site_fract_x
_atom_site_fract_y
_atom_site_fract_z
Ce1 Ce 0.0000 0.0000 0.0000
Mn1 Mn 0.0000 0.0000 0.5000
Mn2 Mn 0.0000 0.5000 0.0000
Mn3 Mn 0.5000 0.0000 0.0000
Mn4 Mn 0.5000 0.5000 0.5000
P1 P 0.1476 0.3521 0.4997
P2 P 0.1476 0.6479 0.7954
P3 P 0.2046 0.8524 0.3521
P4 P 0.3521 0.2046 0.8524
P5 P 0.3521 0.4997 0.1476
P6 P 0.4997 0.1476 0.3521
P7 P 0.5003 0.8524 0.6479
P8 P 0.6479 0.5003 0.8524
P9 P 0.6479 0.7954 0.1476
P10 P 0.7954 0.1476 0.6479
P11 P 0.8524 0.3521 0.2046
P12 P 0.8524 0.6479 0.5003
```

---

Diffraction record for CeMnP3. The XRD peak list is computed, not measured: it uses the PBE geometry in Alexandria and Cu Kα.
Intensities are scaled so that the largest is 100.

The 10 most intense peaks (5 to 70 degrees two-theta), low angle first:
2θ/deg, I (rel.)
25.15, 100
28.41, 51
36.69, 45
38.16, 26
38.29, 48
39.01, 92
49.08, 49
52.69, 20
54.72, 20
63.31, 22

Atomic structure:
```
data_CeMnP3
_symmetry_space_group_name_H-M 'P 1'
_symmetry_Int_Tables_number 1
_cell_length_a 11.7930
_cell_length_b 5.1261
_cell_length_c 5.3852
_cell_angle_alpha 90.00
_cell_angle_beta 90.00
_cell_angle_gamma 90.00
loop_
_symmetry_equiv_pos_as_xyz
'x,y,z'
loop_
_atom_site_label
_atom_site_type_symbol
_atom_site_fract_x
_atom_site_fract_y
_atom_site_fract_z
Ce1 Ce 0.1948 0.0026 0.2500
Ce2 Ce 0.1948 0.4974 0.7500
Ce3 Ce 0.8052 0.5026 0.2500
Ce4 Ce 0.8052 0.9974 0.7500
Mn1 Mn 0.4230 0.2500 0.0000
Mn2 Mn 0.4230 0.2500 0.5000
Mn3 Mn 0.5770 0.7500 0.0000
Mn4 Mn 0.5770 0.7500 0.5000
P1 P 0.0001 0.2500 0.0000
P2 P 0.0001 0.2500 0.5000
P3 P 0.9999 0.7500 0.0000
P4 P 0.9999 0.7500 0.5000
P5 P 0.3065 0.5131 0.2500
P6 P 0.3065 0.9869 0.7500
P7 P 0.4333 0.6152 0.7500
P8 P 0.4333 0.8848 0.2500
P9 P 0.5667 0.1152 0.7500
P10 P 0.5667 0.3848 0.2500
P11 P 0.6935 0.0131 0.2500
P12 P 0.6935 0.4869 0.7500
```